1.
Structure and calculated powder X-ray diffraction pattern of Al2PbSe (a crystal structure in Alexandria, relaxed with PBE; copper Kα).
Kinematic intensities with the Lorentz-polarization factor, no thermal factor.

Crystal structure
a b c (Å): 3.5522 3.5522 27.5006
angles (deg): 90.00 90.00 120.00
Fractional coordinates of all 12 atoms:
Al 0.0000 0.0000 0.0000
Al 0.0000 0.0000 0.2580
Al 0.3333 0.6667 0.6667
Al 0.3333 0.6667 0.9247
Al 0.6667 0.3333 0.3333
Al 0.6667 0.3333 0.5913
Pb 0.0000 0.0000 0.7529
Pb 0.3333 0.6667 0.4195
Pb 0.6667 0.3333 0.0862
Se 0.0000 0.0000 0.5428
Se 0.3333 0.6667 0.2095
Se 0.6667 0.3333 0.8761

Main lines, low angle first (2θ = 10–90°):
- (0 0 6), 2θ 19.37, rel. 52
- (0 0 9), 2θ 29.22, rel. 82
- (1 0 4), 2θ 31.87, rel. 100
- (0 1 5), 2θ 33.37, rel. 61
- (0 1 8), 2θ 39.30, rel. 40
- (1 0 10), 2θ 44.17, rel. 31
- (1 1 0), 2θ 51.45, rel. 31
- (0 1 14), 2θ 55.49, rel. 37

***

2.
Structure and calculated powder X-ray diffraction pattern of AlSiPb (a crystal structure in Alexandria, relaxed with PBE; copper Kα).
Kinematic intensities with the Lorentz-polarization factor, no thermal factor.

Crystal structure
a b c (Å): 3.5263 3.7107 10.6864
angles (deg): 97.13 96.13 103.41
Fractional coordinates of all 6 atoms:
Al 0.0030 0.1724 0.1774
Al 0.9970 0.8276 0.8226
Si 0.3268 0.7081 0.0496
Si 0.6732 0.2919 0.9504
Pb 0.3303 0.3106 0.6289
Pb 0.6697 0.6894 0.3711

Main lines, low angle first (2θ = 10–90°):
- (0 1 1), 2θ 27.63, rel. 63
- (0 1 -2), 2θ 28.00, rel. 66
- (1 0 1), 2θ 28.74, rel. 66
- (0 1 2), 2θ 32.45, rel. 56
- (-1 1 1), 2θ 32.73, rel. 70
- (0 1 -3), 2θ 32.99, rel. 67
- (1 0 2), 2θ 33.37, rel. 60
- (1 0 -3), 2θ 34.13, rel. 100

***

3.
Structure and calculated powder X-ray diffraction pattern of Sr2Al4Zn3Pb (a crystal structure in Alexandria, relaxed with PBE; copper Kα).
Kinematic intensities with the Lorentz-polarization factor, no thermal factor.

Crystal structure
a b c (Å): 4.4668 4.4668 11.3525
angles (deg): 90.00 90.00 90.00
Fractional coordinates of all 10 atoms:
Sr 0.0000 0.5000 0.2394
Sr 0.5000 0.0000 0.7606
Al 0.0000 0.0000 0.0000
Al 0.0000 0.5000 0.6497
Al 0.5000 0.0000 0.3503
Al 0.5000 0.5000 0.0000
Zn 0.0000 0.5000 0.8730
Zn 0.5000 0.0000 0.1270
Zn 0.5000 0.5000 0.5000
Pb 0.0000 0.0000 0.5000

Main lines, low angle first (2θ = 10–90°):
- (0 0 3), 2θ 23.51, rel. 19
- (1 1 1), 2θ 29.35, rel. 42
- (1 0 3), 2θ 30.97, rel. 41
- (1 1 2), 2θ 32.44, rel. 100
- (2 0 0), 2θ 40.39, rel. 49
- (1 1 4), 2θ 42.84, rel. 20
- (2 1 3), 2θ 51.75, rel. 19
- (3 1 2), 2θ 68.45, rel. 23

***

4.
Structure and calculated powder X-ray diffraction pattern of Ta2AlPb (a crystal structure in Alexandria, relaxed with PBE; copper Kα).
Kinematic intensities with the Lorentz-polarization factor, no thermal factor.

Crystal structure
a b c (Å): 5.1698 3.0940 5.1866
angles (deg): 90.00 110.37 90.00
Fractional coordinates of all 4 atoms:
Ta 0.0000 0.0000 0.0000
Ta 0.0000 0.5000 0.5000
Al 0.5000 0.0000 0.5000
Pb 0.5000 0.5000 0.0000

Main lines, low angle first (2θ = 10–90°):
- (0 0 1), 2θ 18.27, rel. 35
- (1 1 -1), 2θ 35.90, rel. 100
- (0 0 2), 2θ 36.98, rel. 46
- (2 0 0), 2θ 37.10, rel. 46
- (1 1 1), 2θ 42.28, rel. 64
- (2 0 -2), 2θ 42.53, rel. 31
- (1 1 -3), 2θ 61.44, rel. 21
- (2 2 0), 2θ 72.45, rel. 27